This entry pairs a crystal structure of KTiP2O7 with its simulated X-ray diffraction stick pattern. Radiation: a wavelength of 1.5418 Å. Structure: a structure optimized by DFT (PBE).
Neutral-atom scattering factors, no anomalous dispersion.

Peak list (6 most intense, 2θ from 10° to 90°, most intense first)
2θ 29.57, rel. 100, hkl 2 2 -1; 2θ 14.94, rel. 64, hkl 1 1 0; 2θ 22.37, rel. 56, hkl 0 0 2; 2θ 28.48, rel. 50, hkl 1 3 0; 2θ 29.86, rel. 45, hkl 1 1 2; 2θ 25.47, rel. 28, hkl 1 2 1

Structure:
```
data_KTiP2O7
_chemical_formula_sum 'K4 Ti4 P8 O28'
_space_group_name_H-M_alt 'P 1'
_space_group_IT_number 1
_space_group_name_Hall 'P 1'
_cell_length_a 7.5203
_cell_length_b 10.4425
_cell_length_c 8.2959
_cell_angle_alpha 90.00
_cell_angle_beta 106.60
_cell_angle_gamma 90.00
loop_
_atom_site_label
_atom_site_fract_x
_atom_site_fract_y
_atom_site_fract_z
K1 0.1806 0.1756 0.0591
K2 0.1806 0.3244 0.5591
K3 0.8194 0.6756 0.4409
K4 0.8194 0.8244 0.9409
Ti1 0.2359 0.6016 0.2596
Ti2 0.2359 0.8984 0.7596
Ti3 0.7641 0.1016 0.2404
Ti4 0.7641 0.3984 0.7404
P1 0.1334 0.5978 0.8264
P2 0.1334 0.9022 0.3264
P3 0.4437 0.6388 0.6899
P4 0.4437 0.8612 0.1899
P5 0.5563 0.1388 0.8101
P6 0.5563 0.3612 0.3101
P7 0.8666 0.0978 0.6736
P8 0.8666 0.4022 0.1736
O1 0.0043 0.0044 0.2241
O2 0.0043 0.4956 0.7241
O3 0.0782 0.7320 0.7539
O4 0.0782 0.7680 0.2539
O5 0.1503 0.5915 0.0135
O6 0.1503 0.9085 0.5135
O7 0.3236 0.6116 0.5095
O8 0.3236 0.8884 0.0095
O9 0.3386 0.5642 0.8098
O10 0.3386 0.9358 0.3098
O11 0.3634 0.0797 0.7713
O12 0.3634 0.4203 0.2713
O13 0.4557 0.7191 0.2381
O14 0.4557 0.7809 0.7381
O15 0.5443 0.2191 0.2619
O16 0.5443 0.2809 0.7619
O17 0.6366 0.5797 0.7287
O18 0.6366 0.9203 0.2287
O19 0.6614 0.0642 0.6902
O20 0.6614 0.4358 0.1902
O21 0.6764 0.1116 0.9905
O22 0.6764 0.3884 0.4905
O23 0.8497 0.0915 0.4865
O24 0.8497 0.4085 0.9865
O25 0.9218 0.2320 0.7461
O26 0.9218 0.2680 0.2461
O27 0.9957 0.5044 0.2759
O28 0.9957 0.9956 0.7759
```